NdHoPt2: theoretical X-ray diffraction stick pattern (Cu Ka), based on a DFT-relaxed cell (GGA-PBE, OQMD).

Most intense lines, 2θ = 10–90°, in order of rising 2θ:
d 2.820, 31.73 deg, I = 100
d 2.646, 33.88 deg, I = 34
d 2.605, 34.43 deg, I = 22
d 2.541, 35.33 deg, I = 55
d 2.504, 35.86 deg, I = 77
d 2.289, 39.36 deg, I = 58
d 2.283, 39.47 deg, I = 65
d 2.263, 39.84 deg, I = 57
d 1.718, 53.32 deg, I = 25
d 1.362, 68.94 deg, I = 24

Crystal structure
abc: 5.6435 4.5658 7.1713
angles: 90.00 91.31 90.00
Positions (direct):
1 Nd 0.1417 0.2500 0.1853
2 Nd 0.8583 0.7500 0.8147
3 Ho 0.3609 0.2500 0.6801
4 Ho 0.6391 0.7500 0.3199
5 Pt 0.1638 0.7500 0.4635
6 Pt 0.3523 0.7500 0.9491
7 Pt 0.6477 0.2500 0.0509
8 Pt 0.8362 0.2500 0.5365



Co8Ni7: theoretical X-ray diffraction stick pattern (Cu Ka), based on a DFT-relaxed cell (GGA-PBE, OQMD).

Most intense lines, 2θ = 10–90°, in order of rising 2θ:
d 2.241, 40.24 deg, I = 24
d 2.074, 43.63 deg, I = 90
d 2.016, 44.96 deg, I = 37
d 1.985, 45.70 deg, I = 35
d 1.934, 46.99 deg, I = 67
d 1.883, 48.35 deg, I = 100
d 1.839, 49.58 deg, I = 51
d 1.227, 77.82 deg, I = 16
d 1.212, 78.96 deg, I = 21
d 1.175, 82.02 deg, I = 14

Crystal structure
abc: 8.5533 8.5533 4.4827
angles: 90.00 90.00 90.00
Positions (direct):
1 Co 0.0368 0.3687 0.0000
2 Co 0.1313 0.5368 0.5000
3 Co 0.1835 0.8165 0.2495
4 Co 0.1835 0.8165 0.7505
5 Co 0.3165 0.3165 0.2505
6 Co 0.3165 0.3165 0.7495
7 Co 0.3687 0.0368 0.0000
8 Co 0.4632 0.8687 0.5000
9 Co 0.5368 0.1313 0.5000
10 Co 0.6313 0.9632 0.0000
11 Co 0.6835 0.6835 0.2505
12 Co 0.6835 0.6835 0.7495
13 Co 0.8165 0.1835 0.2495
14 Co 0.8165 0.1835 0.7505
15 Co 0.8687 0.4632 0.5000
16 Co 0.9632 0.6313 0.0000
17 Ni 0.0000 0.0000 0.5000
18 Ni 0.0651 0.2636 0.5000
19 Ni 0.0995 0.0995 0.0000
20 Ni 0.2364 0.5651 0.0000
21 Ni 0.2636 0.0651 0.5000
22 Ni 0.4005 0.5995 0.5000
23 Ni 0.4349 0.7636 0.0000
24 Ni 0.5000 0.5000 0.0000
25 Ni 0.5651 0.2364 0.0000
26 Ni 0.5995 0.4005 0.5000
27 Ni 0.7364 0.9349 0.5000
28 Ni 0.7636 0.4349 0.0000
29 Ni 0.9005 0.9005 0.0000
30 Ni 0.9349 0.7364 0.5000



SmY2Ga2Ni4: theoretical X-ray diffraction stick pattern (Cu Ka), based on a DFT-relaxed cell (GGA-PBE, OQMD).

Most intense lines, 2θ = 10–90°, in order of rising 2θ:
d 3.364, 26.49 deg, I = 46
d 2.847, 31.42 deg, I = 60
d 2.543, 35.29 deg, I = 100
d 2.511, 35.76 deg, I = 47
d 2.417, 37.20 deg, I = 40
d 2.352, 38.27 deg, I = 27
d 2.270, 39.70 deg, I = 53
d 2.141, 42.22 deg, I = 92
d 2.063, 43.88 deg, I = 68
d 1.324, 71.21 deg, I = 29

Crystal structure
abc: 5.3122 5.3122 8.1621
angles: 97.56 97.56 45.71
Positions (direct):
1 Sm 0.0000 0.0000 0.0000
2 Y 0.3749 0.3749 0.6193
3 Y 0.6251 0.6251 0.3807
4 Ga 0.3217 0.3217 0.2190
5 Ga 0.6783 0.6783 0.7810
6 Ni 0.0823 0.0823 0.6334
7 Ni 0.2670 0.2670 0.9146
8 Ni 0.7330 0.7330 0.0854
9 Ni 0.9177 0.9177 0.3666